Simulated X-ray diffraction stick pattern
Compound: Rb5Tc2S6
Radiation: Cu Kα X-rays
Structure: a structure optimized by DFT (GGA-PBE)
Lines closer than 0.1° are merged.

Atomic structure:
abc: 7.640 7.640 17.164
angles: 100.69 100.69 65.29
Fractional positions:
Rb 0.130 0.870 0.750
Rb 0.179 0.697 0.001
Rb 0.250 0.438 0.277
Rb 0.303 0.821 0.499
Rb 0.438 0.250 0.777
Rb 0.562 0.750 0.223
Rb 0.697 0.179 0.501
Rb 0.750 0.562 0.723
Rb 0.821 0.303 0.999
Rb 0.870 0.130 0.250
Tc 0.120 0.412 0.567
Tc 0.412 0.120 0.067
Tc 0.588 0.880 0.933
Tc 0.880 0.588 0.433
S 0.103 0.195 0.638
S 0.148 0.300 0.435
S 0.195 0.103 0.138
S 0.300 0.148 0.935
S 0.378 0.484 0.625
S 0.484 0.378 0.125
S 0.516 0.622 0.875
S 0.622 0.516 0.375
S 0.700 0.852 0.065
S 0.805 0.897 0.862
S 0.852 0.700 0.565
S 0.897 0.805 0.362

Top 10 peaks for 2θ from 10° to 90°, most intense first:
Position (°2θ), d (Å), intensity
25.5, 3.498, 100
26.0, 3.428, 89
26.9, 3.315, 72
13.3, 6.661, 62
24.1, 3.695, 46
28.1, 3.178, 42
39.0, 2.311, 38
42.2, 2.144, 34
14.5, 6.116, 26
32.1, 2.788, 23